Theoretical PXRD pattern of Ti2Zn4In for Cu Kα (weighted mean of Kα1 and Kα2), from the GGA-PBE geometry in Alexandria.
Peak positions follow from Bragg's law for the DFT cell and can differ from measured ones.

Cell and atoms:
Unit cell a=6.9717 b=5.7709 c=5.2703 alpha=78.17 beta=54.11 gamma=47.72
Element x y z (fractional)
Ti 0.1922 0.8078 0.1922
Ti 0.8078 0.1922 0.8078
Zn 0.1945 0.1945 0.8055
Zn 0.2500 0.2500 0.2500
Zn 0.7500 0.7500 0.7500
Zn 0.8055 0.8055 0.1945
In 0.5000 0.5000 0.5000

Largest 8 diffraction maxima, in order of rising 2θ, 10 to 90 degrees two-theta:
2θ (°), I_rel
32.89, 88
34.48, 65
35.19, 40
38.81, 56
40.05, 35
41.04, 62
43.17, 100
44.74, 36

---

Theoretical PXRD pattern of Zr3TiIn4 for Cu Kα (weighted mean of Kα1 and Kα2), from the GGA-PBE geometry in Alexandria.
Peak positions follow from Bragg's law for the DFT cell and can differ from measured ones.

Cell and atoms:
Unit cell a=3.7599 b=3.7599 c=12.2803 alpha=90.00 beta=90.00 gamma=90.00
Element x y z (fractional)
Zr 0.0000 0.0000 0.0000
Zr 0.0000 0.0000 0.2553
Zr 0.0000 0.0000 0.7447
Ti 0.0000 0.0000 0.5000
In 0.5000 0.5000 0.1265
In 0.5000 0.5000 0.3819
In 0.5000 0.5000 0.6181
In 0.5000 0.5000 0.8735

Largest 8 diffraction maxima, in order of rising 2θ, 10 to 90 degrees two-theta:
2θ (°), I_rel
33.71, 70
37.83, 100
48.42, 24
60.29, 6
63.03, 42
70.89, 22
80.84, 20
83.27, 10

---

Theoretical PXRD pattern of ZrTi2In2 for Cu Kα (weighted mean of Kα1 and Kα2), from the GGA-PBE geometry in Alexandria.
Peak positions follow from Bragg's law for the DFT cell and can differ from measured ones.

Cell and atoms:
Unit cell a=2.9808 b=22.8786 c=3.0047 alpha=90.00 beta=90.00 gamma=90.00
Element x y z (fractional)
Zr 0.0000 0.0000 0.0000
Zr 0.5000 0.5000 0.0000
Ti 0.0000 0.1998 0.0000
Ti 0.0000 0.8002 0.0000
Ti 0.5000 0.3002 0.0000
Ti 0.5000 0.6998 0.0000
In 0.0000 0.3961 0.5000
In 0.0000 0.6039 0.5000
In 0.5000 0.1039 0.5000
In 0.5000 0.8961 0.5000

Largest 8 diffraction maxima, in order of rising 2θ, 10 to 90 degrees two-theta:
2θ (°), I_rel
33.69, 71
35.96, 100
38.13, 40
39.38, 38
42.92, 65
56.59, 33
62.63, 15
73.57, 23